YAlAu: computed powder XRD pattern (Cu Kα (weighted mean of Kα1 and Kα2)), based on a crystal structure in the Materials Project, relaxed with GGA-PBE.
Lines closer than 0.1° are merged.

Cell and atoms:
abc: 7.2281 4.4893 7.8054
angles: 90.00 90.00 90.00
Space group Pnma (No. 62)
One atom of each set of equivalent atoms:
Y 0.0076 0.2500 0.1962
Al 0.1706 0.2500 0.5766
Au 0.2129 0.7500 0.4034

Largest 10 diffraction maxima, by angle, 2θ from 10° to 80°:
hkl, d/Å, two_theta, I/Imax
1 0 2, 3.430, 26.0, 100
1 1 2, 2.728, 32.8, 22
2 1 1, 2.649, 33.8, 77
3 0 1, 2.302, 39.1, 14
0 1 3, 2.251, 40.1, 37
0 2 0, 2.245, 40.2, 25
3 0 2, 2.049, 44.2, 20
2 1 3, 1.911, 47.6, 12
1 2 2, 1.879, 48.4, 15
0 3 3, 1.298, 72.9, 17

=====

RbAl6H20N5F24: computed powder XRD pattern (Cu Kα (weighted mean of Kα1 and Kα2)), based on a crystal structure in the Materials Project, relaxed with GGA-PBE.
Lines closer than 0.1° are merged.

Cell and atoms:
abc: 5.1312 5.1896 22.8095
angles: 89.75 88.60 89.09
Space group P1 (No. 1)
One atom of each set of equivalent atoms:
Rb 0.0000 0.0000 0.0000
Al 0.0643 0.5935 0.8048
Al 0.1924 0.8052 0.4778
Al 0.4411 0.9448 0.1245
Al 0.5520 0.0984 0.8241
Al 0.6867 0.3049 0.4776
Al 0.9407 0.4462 0.1311
H 0.0554 0.4590 0.5901
H 0.0817 0.1443 0.6075
H 0.1199 0.9552 0.2409
H 0.1432 0.3714 0.6574
H 0.2986 0.5672 0.9383
H 0.3316 0.4407 0.3162
H 0.3501 0.3276 0.5971
H 0.4912 0.8382 0.6612
H 0.5276 0.1092 0.7538
H 0.5316 0.6245 0.9869
H 0.5636 0.7360 0.9178
H 0.5683 0.8206 0.3522
H 0.5801 0.4104 0.9298
H 0.6498 0.7058 0.3606
H 0.7567 0.1022 0.7255
H 0.8100 0.0485 0.2622
H 0.8890 0.7327 0.2498
H 0.9455 0.4943 0.9957
H 0.9473 0.0695 0.3973
H 0.9976 0.8847 0.3094
N 0.1585 0.3239 0.6137
N 0.4823 0.3372 0.2947
N 0.4973 0.5843 0.9434
N 0.6175 0.6779 0.6589
N 0.9520 0.9070 0.2659
F 0.0994 0.8919 0.3962
F 0.1314 0.5782 0.7331
F 0.1786 0.7008 0.1156
F 0.1920 0.2056 0.1088
F 0.2381 0.7711 0.5523
F 0.2883 0.8386 0.8326
F 0.2934 0.3602 0.8364
F 0.3806 0.9641 0.2001
F 0.4366 0.5492 0.4537
F 0.4457 0.0498 0.4666
F 0.4958 0.9207 0.0457
F 0.5781 0.0863 0.9036
F 0.6219 0.3366 0.5520
F 0.6847 0.6896 0.1365
F 0.7003 0.1898 0.1273
F 0.8016 0.2355 0.3979
F 0.8090 0.8279 0.8237
F 0.8148 0.3557 0.8236
F 0.8732 0.4779 0.0456
F 0.9318 0.0803 0.7076
F 0.9370 0.5589 0.4749
F 0.9423 0.0593 0.4933
F 0.9819 0.4305 0.2060
F 0.9954 0.5050 0.9490

Largest 10 diffraction maxima, by angle, 2θ from 10° to 80°:
hkl, d/Å, two_theta, I/Imax
0 0 3, 7.601, 11.6, 100
0 0 6, 3.800, 23.4, 22
1 1 1, 3.641, 24.4, 17
1 1 -2, 3.479, 25.6, 33
1 -1 3, 3.286, 27.1, 31
-1 1 3, 3.252, 27.4, 25
1 1 4, 3.119, 28.6, 14
0 2 4, 2.363, 38.1, 14
2 2 2, 1.821, 50.1, 16
2 -2 0, 1.810, 50.4, 12

=====

InPF3: computed powder XRD pattern (Cu Kα (weighted mean of Kα1 and Kα2)), based on a crystal structure in the Materials Project, relaxed with GGA-PBE.
Lines closer than 0.1° are merged.

Cell and atoms:
abc: 6.1652 6.1652 11.2888
angles: 90.00 90.00 120.00
Space group R3 (No. 146, hexagonal axes)
One atom of each set of equivalent atoms:
In 0.0000 0.0000 0.0000
P 0.0000 0.0000 0.5274
F 0.0097 0.4110 0.1720

Largest 10 diffraction maxima, by angle, 2θ from 10° to 80°:
hkl, d/Å, two_theta, I/Imax
1 0 1, 4.827, 18.4, 40
0 1 2, 3.879, 22.9, 100
1 1 0, 3.083, 29.0, 38
0 2 1, 2.598, 34.5, 16
1 0 4, 2.495, 36.0, 29
2 0 2, 2.413, 37.3, 20
1 1 3, 2.385, 37.7, 33
1 2 2, 1.900, 47.9, 24
3 0 0, 1.780, 51.3, 13
3 -1 4, 1.642, 56.0, 14

=====

Ca4Cd3Au: computed powder XRD pattern (Cu Kα (weighted mean of Kα1 and Kα2)), based on a crystal structure in the Materials Project, relaxed with GGA-PBE.
Lines closer than 0.1° are merged.

Cell and atoms:
abc: 3.8921 3.8921 14.4408
angles: 90.00 90.00 90.00
Space group P4/mmm (No. 123)
One atom of each set of equivalent atoms:
Ca 0.0000 0.0000 0.1178
Ca 0.0000 0.0000 0.3738
Cd 0.5000 0.5000 0.2494
Cd 0.5000 0.5000 0.5000
Au 0.5000 0.5000 0.0000

Largest 10 diffraction maxima, by angle, 2θ from 10° to 80°:
hkl, d/Å, two_theta, I/Imax
1 0 0, 3.892, 22.8, 36
0 0 4, 3.610, 24.7, 15
1 1 0, 2.752, 32.5, 56
1 0 4, 2.647, 33.9, 100
1 1 4, 2.189, 41.2, 16
2 0 0, 1.946, 46.7, 20
2 1 4, 1.568, 58.9, 38
1 1 8, 1.509, 61.4, 17
2 0 8, 1.323, 71.3, 11
3 1 0, 1.231, 77.6, 8

=====

BaNa3PCO7: computed powder XRD pattern (Cu Kα (weighted mean of Kα1 and Kα2)), based on a crystal structure in the Materials Project, relaxed with GGA-PBE.
Lines closer than 0.1° are merged.

Cell and atoms:
abc: 5.4801 7.3057 9.4238
angles: 90.00 90.01 90.00
Space group P2_1 (No. 4)
One atom of each set of equivalent atoms:
Ba 0.0132 0.0000 0.1805
Na 0.0075 0.2845 0.4834
Na 0.4923 0.2849 0.0186
Na 0.4990 0.0606 0.6658
P 0.0043 0.0327 0.8199
C 0.4894 0.5203 0.6378
O 0.0834 0.1687 0.7017
O 0.0855 0.3500 0.2459
O 0.2105 0.6148 0.0913
O 0.2300 0.0061 0.9194
O 0.2904 0.5433 0.5653
O 0.3039 0.9944 0.4271
O 0.4831 0.5223 0.7777

Largest 10 diffraction maxima, by angle, 2θ from 10° to 80°:
hkl, d/Å, two_theta, I/Imax
0 1 1, 5.774, 15.3, 53
1 0 0, 5.480, 16.2, 76
1 1 1, 3.972, 22.4, 33
0 2 0, 3.653, 24.4, 66
1 0 2, 3.573, 24.9, 33
1 2 1, 2.891, 30.9, 100
2 0 0, 2.740, 32.7, 35
1 0 -3, 2.725, 32.9, 67
2 1 -2, 2.253, 40.0, 33
2 2 2, 1.987, 45.6, 44

=====

PrMg2Ag: computed powder XRD pattern (Cu Kα (weighted mean of Kα1 and Kα2)), based on a crystal structure in the Materials Project, relaxed with GGA-PBE.
Lines closer than 0.1° are merged.

Cell and atoms:
abc: 7.2162 7.2162 7.2162
angles: 90.00 90.00 90.00
Space group Fm-3m (No. 225)
One atom of each set of equivalent atoms:
Pr 0.0000 0.0000 0.0000
Mg 0.2500 0.2500 0.2500
Ag 0.0000 0.0000 0.5000

Largest 10 diffraction maxima, by angle, 2θ from 10° to 80°:
hkl, d/Å, two_theta, I/Imax
1 1 1, 4.166, 21.3, 2
2 0 0, 3.608, 24.7, 55
2 2 0, 2.551, 35.2, 100
3 1 1, 2.176, 41.5, 1
2 2 2, 2.083, 43.4, 16
4 0 0, 1.804, 50.6, 17
4 2 0, 1.614, 57.1, 21
4 2 2, 1.473, 63.1, 35
4 4 0, 1.276, 74.4, 11
6 0 0, 1.203, 79.7, 10

=====

Repeat the fifth record exactly.
BaNa3PCO7: computed powder XRD pattern (Cu Kα (weighted mean of Kα1 and Kα2)), based on a crystal structure in the Materials Project, relaxed with GGA-PBE.
Lines closer than 0.1° are merged.

Cell and atoms:
abc: 5.4801 7.3057 9.4238
angles: 90.00 90.01 90.00
Space group P2_1 (No. 4)
One atom of each set of equivalent atoms:
Ba 0.0132 0.0000 0.1805
Na 0.0075 0.2845 0.4834
Na 0.4923 0.2849 0.0186
Na 0.4990 0.0606 0.6658
P 0.0043 0.0327 0.8199
C 0.4894 0.5203 0.6378
O 0.0834 0.1687 0.7017
O 0.0855 0.3500 0.2459
O 0.2105 0.6148 0.0913
O 0.2300 0.0061 0.9194
O 0.2904 0.5433 0.5653
O 0.3039 0.9944 0.4271
O 0.4831 0.5223 0.7777

Largest 10 diffraction maxima, by angle, 2θ from 10° to 80°:
hkl, d/Å, two_theta, I/Imax
0 1 1, 5.774, 15.3, 53
1 0 0, 5.480, 16.2, 76
1 1 1, 3.972, 22.4, 33
0 2 0, 3.653, 24.4, 66
1 0 2, 3.573, 24.9, 33
1 2 1, 2.891, 30.9, 100
2 0 0, 2.740, 32.7, 35
1 0 -3, 2.725, 32.9, 67
2 1 -2, 2.253, 40.0, 33
2 2 2, 1.987, 45.6, 44